# MgW2O7
Calculated powder diffraction line list, a wavelength of 1.5418 Å. Input: DFT lattice parameters and positions (GGA+U).

Largest 8 diffraction maxima, by angle, 2θ from 10° to 90°:
2θ 19.8, I 70; 2θ 20.5, I 100; 2θ 22.0, I 59; 2θ 26.9, I 37; 2θ 28.1, I 34; 2θ 32.9, I 35; 2θ 35.1, I 56; 2θ 39.3, I 23

Structure:
```
data_MgW2O7
_symmetry_space_group_name_H-M 'P 1 21 1'
_symmetry_Int_Tables_number 4
_cell_length_a 6.3769
_cell_length_b 6.6230
_cell_length_c 8.4312
_cell_angle_alpha 90.00
_cell_angle_beta 106.92
_cell_angle_gamma 90.00
loop_
_symmetry_equiv_pos_as_xyz
'x,y,z'
'-x,y+1/2,-z'
loop_
_atom_site_label
_atom_site_type_symbol
_atom_site_fract_x
_atom_site_fract_y
_atom_site_fract_z
_atom_site_occupancy
Mg1 Mg 0.1097 0.0000 0.1395 1
W1 W 0.1054 0.5181 0.2874 1
W2 W 0.3482 0.5429 0.7195 1
O1 O 0.0353 0.6332 0.0787 1
O2 O 0.1004 0.4165 0.7348 1
O3 O 0.1357 0.9733 0.6615 1
O4 O 0.2021 0.2696 0.2595 1
O5 O 0.2977 0.6272 0.4913 1
O6 O 0.4085 0.7308 0.8702 1
O7 O 0.4123 0.8807 0.2318 1
```

***

# Li2V3CrO8
Calculated powder diffraction line list, a wavelength of 1.5418 Å. Input: DFT lattice parameters and positions (GGA+U).

Largest 8 diffraction maxima, by angle, 2θ from 10° to 90°:
2θ 18.0, I 100; 2θ 35.0, I 11; 2θ 35.3, I 12; 2θ 35.8, I 10; 2θ 42.0, I 21; 2θ 43.0, I 19; 2θ 43.3, I 19; 2θ 61.5, I 6

Structure:
```
data_Li2V3CrO8
_symmetry_space_group_name_H-M 'P -1'
_symmetry_Int_Tables_number 2
_cell_length_a 5.2685
_cell_length_b 5.9065
_cell_length_c 10.6878
_cell_angle_alpha 98.75
_cell_angle_beta 102.22
_cell_angle_gamma 107.20
loop_
_symmetry_equiv_pos_as_xyz
'x,y,z'
'-x,-y,-z'
loop_
_atom_site_label
_atom_site_type_symbol
_atom_site_fract_x
_atom_site_fract_y
_atom_site_fract_z
_atom_site_occupancy
Li1 Li 0.0000 0.0000 0.0000 1
Li2 Li 0.0000 0.5000 0.0000 1
Li3 Li 0.4962 0.2482 0.5010 1
V1 V 0.1001 0.4319 0.6293 1
V2 V 0.1085 0.9340 0.6281 1
V3 V 0.3967 0.8197 0.8691 1
Cr1 Cr 0.3905 0.3165 0.8742 1
O1 O 0.1171 0.9754 0.8153 1
O2 O 0.1294 0.4991 0.8245 1
O3 O 0.1640 0.3909 0.4438 1
O4 O 0.1708 0.9106 0.4456 1
O5 O 0.3346 0.3420 0.0554 1
O6 O 0.3413 0.8600 0.0580 1
O7 O 0.3714 0.2550 0.6788 1
O8 O 0.3839 0.7743 0.6822 1
```